This entry pairs a crystal structure of LiCr2P3O11 with its computed PXRD pattern. Radiation: Cu Kα X-rays. Structure: a GGA+U-relaxed structure.
Kinematic intensities with the Lorentz-polarization factor, no thermal factor.

Structure:
```
data_LiCr2P3O11
_symmetry_space_group_name_H-M 'C 1 2 1'
_symmetry_Int_Tables_number 5
_cell_length_a 11.4248
_cell_length_b 8.6140
_cell_length_c 8.6931
_cell_angle_alpha 90.00
_cell_angle_beta 115.13
_cell_angle_gamma 90.00
loop_
_symmetry_equiv_pos_as_xyz
'x,y,z'
'-x,y,-z'
'x+1/2,y+1/2,z'
'-x+1/2,y+1/2,-z'
loop_
_atom_site_label
_atom_site_type_symbol
_atom_site_fract_x
_atom_site_fract_y
_atom_site_fract_z
Li1 Li 0.2458 0.0000 0.2641
Cr1 Cr 0.1241 0.0012 0.7958
Cr2 Cr 0.1242 0.5232 0.2950
P1 P 0.0000 0.7196 0.5000
P2 P 0.0000 0.8050 0.0000
P3 P 0.1133 0.3275 0.9618
P4 P 0.1142 0.1967 0.4630
O1 O 0.0000 0.2528 0.0000
O2 O 0.0000 0.2698 0.5000
O3 O 0.0542 0.4337 0.8060
O4 O 0.0575 0.0908 0.3067
O5 O 0.0674 0.8148 0.6617
O6 O 0.0690 0.7106 0.1621
O7 O 0.1073 0.6093 0.4914
O8 O 0.1071 0.9154 0.9915
O9 O 0.1894 0.1921 0.9406
O10 O 0.1912 0.0995 0.6256
O11 O 0.1908 0.3345 0.4470
O12 O 0.1913 0.4240 0.1250
```

Peak list (6 most intense, 10° ≤ 2θ ≤ 90°, by intensity)
2θ = 30.8°, intensity 100, hkl 0 2 2
2θ = 19.7°, intensity 95, hkl 1 1 1
2θ = 15.0°, intensity 80, hkl 1 1 -1
2θ = 34.7°, intensity 52, hkl 4 0 0
2θ = 23.5°, intensity 52, hkl 0 2 1
2θ = 28.2°, intensity 49, hkl 3 1 -2



This entry pairs a crystal structure of CaCo5O7 with its computed PXRD pattern. Radiation: Cu Kα X-rays. Structure: a GGA+U-relaxed structure.
Kinematic intensities with the Lorentz-polarization factor, no thermal factor.

Structure:
```
data_CaCo5O7
_symmetry_space_group_name_H-M 'C m c m'
_symmetry_Int_Tables_number 63
_symmetry_space_group_name_Hall '-C 2c 2'
_cell_length_a 3.0391
_cell_length_b 10.1234
_cell_length_c 17.5530
_cell_angle_alpha 90.00
_cell_angle_beta 90.00
_cell_angle_gamma 90.00
loop_
_atom_site_label
_atom_site_type_symbol
_atom_site_fract_x
_atom_site_fract_y
_atom_site_fract_z
Ca1 Ca 0.0000 0.1959 0.2500
Co1 Co 0.0000 0.0000 0.0000
Co2 Co 0.0000 0.2814 0.5726
Co3 Co 0.0000 0.4475 0.1499
O1 O 0.0000 0.0777 0.1103
O2 O 0.0000 0.1803 0.6711
O3 O 0.0000 0.3640 0.0382
O4 O 0.0000 0.4802 0.7500
```

Peak list (6 most intense, 10° ≤ 2θ ≤ 90°, by intensity)
2θ = 35.4°, intensity 100, hkl 0 2 6
2θ = 41.3°, intensity 92, hkl 1 3 2
2θ = 42.9°, intensity 69, hkl 1 3 3
2θ = 61.0°, intensity 58, hkl 2 0 0
2θ = 10.1°, intensity 49, hkl 0 0 2
2θ = 40.3°, intensity 44, hkl 1 3 1



This entry pairs a crystal structure of MgP2W2O10 with its computed PXRD pattern. Radiation: Cu Kα X-rays. Structure: a GGA+U-relaxed structure.
Kinematic intensities with the Lorentz-polarization factor, no thermal factor.

Structure:
```
data_MgP2W2O10
_symmetry_space_group_name_H-M 'F d d 2'
_symmetry_Int_Tables_number 43
_symmetry_space_group_name_Hall 'F 2 -2d'
_cell_length_a 12.2378
_cell_length_b 15.6699
_cell_length_c 7.5805
_cell_angle_alpha 90.00
_cell_angle_beta 90.00
_cell_angle_gamma 90.00
loop_
_atom_site_label
_atom_site_type_symbol
_atom_site_fract_x
_atom_site_fract_y
_atom_site_fract_z
Mg1 Mg 0.0000 0.0000 0.0000
P1 P 0.0005 0.2003 0.0060
W1 W 0.1239 0.3757 0.8805
O1 O 0.0012 0.0810 0.5061
O2 O 0.0153 0.3625 0.6613
O3 O 0.0167 0.1396 0.8475
O4 O 0.1020 0.2419 0.4764
O5 O 0.1028 0.2585 0.0377
```

Peak list (6 most intense, 10° ≤ 2θ ≤ 90°, by intensity)
2θ = 30.0°, intensity 100, hkl 2 2 2
2θ = 14.9°, intensity 99, hkl 1 1 1
2θ = 25.4°, intensity 56, hkl 3 1 1
2θ = 30.2°, intensity 47, hkl 3 3 1
2θ = 31.7°, intensity 46, hkl 1 5 1
2θ = 22.7°, intensity 45, hkl 0 4 0



This entry pairs a crystal structure of Li2Cr3WO8 with its computed PXRD pattern. Radiation: Cu Kα X-rays. Structure: a GGA+U-relaxed structure.
Kinematic intensities with the Lorentz-polarization factor, no thermal factor.

Structure:
```
data_Li2Cr3WO8
_symmetry_space_group_name_H-M 'P -1'
_symmetry_Int_Tables_number 2
_cell_length_a 6.0190
_cell_length_b 6.0191
_cell_length_c 10.5170
_cell_angle_alpha 73.74
_cell_angle_beta 89.94
_cell_angle_gamma 60.14
loop_
_symmetry_equiv_pos_as_xyz
'x,y,z'
'-x,-y,-z'
loop_
_atom_site_label
_atom_site_type_symbol
_atom_site_fract_x
_atom_site_fract_y
_atom_site_fract_z
Li1 Li 0.1822 0.1290 0.0555
Li2 Li 0.3177 0.8673 0.4446
Cr1 Cr 0.2480 0.9984 0.7506
Cr2 Cr 0.2500 0.5055 0.2499
Cr3 Cr 0.2523 0.4960 0.7508
W1 W 0.0000 0.5000 0.5000
W2 W 0.5000 0.5000 0.0000
O1 O 0.1036 0.7427 0.3699
O2 O 0.1074 0.2884 0.3750
O3 O 0.1149 0.2659 0.8520
O4 O 0.1550 0.7343 0.8706
O5 O 0.3441 0.2569 0.6301
O6 O 0.3848 0.7302 0.6488
O7 O 0.3933 0.2705 0.1245
O8 O 0.3934 0.7170 0.1309
```

Peak list (6 most intense, 10° ≤ 2θ ≤ 90°, by intensity)
2θ = 18.0°, intensity 100, hkl 1 0 -1
2θ = 18.1°, intensity 50, hkl 1 1 1
2θ = 34.8°, intensity 27, hkl 0 1 4
2θ = 34.9°, intensity 26, hkl -1 1 3
2θ = 42.1°, intensity 19, hkl 2 0 2
2θ = 42.3°, intensity 19, hkl 2 2 -2